This entry pairs a crystal structure of Cr8Cd3CuS16 with its calculated X-ray powder pattern. Radiation: Cu Kα (λ = 1.5418 Å). Structure: a DFT-relaxed cell (PBE, Alexandria).
Peak positions follow from Bragg's law for the DFT cell and can differ from measured ones.

Peak list (10 most intense, 2θ = 10–90°, in order of rising 2θ)
2θ/deg  I_rel
24.6  40
24.7  40
29.0  100
29.1  33
35.2  22
43.4  22
46.2  53
46.3  16
50.5  47
50.7  45

Cell and atoms:
Cell: 12.4462 12.4462 12.4462 Å, 33.78 33.78 33.78°
Fractional coordinates of all 28 atoms:
Cr 0.0000 0.0000 0.0000
Cr 0.2435 0.2435 0.7462
Cr 0.2435 0.7462 0.2435
Cr 0.2514 0.7476 0.7476
Cr 0.4966 0.4966 0.4966
Cr 0.7462 0.2435 0.2435
Cr 0.7476 0.2514 0.7476
Cr 0.7476 0.7476 0.2514
Cd 0.1839 0.1839 0.1839
Cd 0.3082 0.3082 0.3082
Cd 0.8093 0.8093 0.8093
Cu 0.6843 0.6843 0.6843
S 0.0983 0.0983 0.6651
S 0.0983 0.6651 0.0983
S 0.1123 0.1123 0.1123
S 0.1619 0.5966 0.5966
S 0.3526 0.8835 0.8835
S 0.3788 0.3788 0.3788
S 0.3970 0.3970 0.8322
S 0.3970 0.8322 0.3970
S 0.5967 0.1619 0.5967
S 0.5967 0.5966 0.1619
S 0.6185 0.6185 0.6185
S 0.6651 0.0983 0.0983
S 0.8322 0.3970 0.3970
S 0.8807 0.8807 0.8807
S 0.8835 0.3526 0.8835
S 0.8835 0.8835 0.3526